Entry 1:
Diffraction record for Sr2Tl7Pd12. The X-ray diffraction stick pattern is calculated, not measured: it uses DFT lattice parameters and positions (PBE) and λ = 1.5418 Å (Cu Kα).
No peak broadening, texture or thermal motion is included.

Structure:
```
Sr2Tl7Pd12
1.0
10.575 0.000 0.000
-5.287 9.158 0.000
0.000 0.000 4.652
Sr Tl Pd
2 7 12
direct
0.333 0.667 0.191
0.667 0.333 0.809
0.000 0.000 0.500
0.115 0.717 0.677
0.283 0.398 0.677
0.398 0.115 0.323
0.602 0.885 0.677
0.717 0.602 0.323
0.885 0.283 0.323
0.047 0.435 0.800
0.124 0.259 0.174
0.135 0.876 0.174
0.259 0.135 0.826
0.388 0.953 0.800
0.435 0.388 0.200
0.565 0.612 0.800
0.612 0.047 0.200
0.741 0.865 0.174
0.865 0.124 0.826
0.876 0.741 0.826
0.953 0.565 0.200
```

Most intense lines, 2θ from 15° to 90°, in order of falling intensity:
| 2theta | I (rel.) |
| --- | --- |
| 32.2 | 1000 |
| 40.5 | 512 |
| 45.4 | 281 |
| 25.7 | 265 |
| 42.5 | 208 |
| 47.5 | 196 |
| 35.2 | 189 |
| 16.8 | 151 |
| 44.1 | 149 |
| 66.0 | 142 |

=====

Entry 2:
Diffraction record for CsPrPuI6. The X-ray diffraction stick pattern is calculated, not measured: it uses DFT lattice parameters and positions (PBE) and λ = 1.5418 Å (Cu Kα).
No peak broadening, texture or thermal motion is included.

Structure:
```
CsPrPuI6
1.0
-5.706 5.863 8.278
5.706 -5.863 8.278
5.706 5.863 -8.278
Cs Pr Pu I
2 2 2 12
direct
0.312 0.062 0.250
0.688 0.938 0.750
0.000 0.500 0.500
0.500 0.500 0.000
0.000 0.000 0.500
0.000 0.500 0.000
0.075 0.419 0.247
0.075 0.828 0.657
0.082 0.832 0.250
0.322 0.572 0.750
0.329 0.172 0.747
0.329 0.581 0.157
0.671 0.419 0.843
0.671 0.828 0.253
0.678 0.428 0.250
0.918 0.168 0.750
0.925 0.172 0.343
0.925 0.581 0.753
```

Most intense lines, 2θ from 15° to 90°, in order of falling intensity:
| 2theta | I (rel.) |
| --- | --- |
| 30.7 | 1000 |
| 17.8 | 952 |
| 28.0 | 609 |
| 18.9 | 550 |
| 18.1 | 546 |
| 39.0 | 482 |
| 32.2 | 370 |
| 30.5 | 337 |
| 31.4 | 336 |
| 26.4 | 307 |